This entry pairs a crystal structure of CeGd3 with its calculated powder diffraction line list. Radiation: Cu Kα. Structure: a DFT-relaxed cell (PBE, Alexandria).
Lines closer than 0.1° are merged.

Structure:
```
data_CeGd3
_chemical_formula_sum 'Ce1 Gd3'
_symmetry_space_group_name_H-M 'P m -3 m'
_symmetry_Int_Tables_number 221
_symmetry_space_group_name_Hall '-P 4 2 3'
_cell_length_a 5.0415
_cell_length_b 5.0415
_cell_length_c 5.0415
_cell_angle_alpha 90.00
_cell_angle_beta 90.00
_cell_angle_gamma 90.00
loop_
_atom_site_label
_atom_site_type_symbol
_atom_site_fract_x
_atom_site_fract_y
_atom_site_fract_z
Ce1 Ce 0.0000 0.0000 0.0000
Gd1 Gd 0.0000 0.5000 0.5000
```

The 8 most intense peaks (15 to 90 degrees two-theta), sorted by position:
| two_theta | I (rel.) |
| --- | --- |
| 30.72 | 100 |
| 35.62 | 51 |
| 51.25 | 36 |
| 60.95 | 43 |
| 63.97 | 12 |
| 75.42 | 6 |
| 83.60 | 18 |
| 86.29 | 17 |